Diffraction record for PmTcNiGe2. The PXRD pattern is computed, not measured: it uses a GGA-PBE-relaxed structure and copper Kα.
Kinematic intensities with the Lorentz-polarization factor, no thermal factor.

Atomic structure:
```
data_PmTcNiGe2
_cell_length_a 5.9976
_cell_length_b 5.9976
_cell_length_c 5.9976
_cell_angle_alpha 139.63
_cell_angle_beta 139.63
_cell_angle_gamma 58.42
_space_group_name_H-M_alt 'P 1'
_space_group_IT_number 1
loop_
_space_group_symop_operation_xyz
'x,y,z'
loop_
_atom_site_label
_atom_site_fract_x
_atom_site_fract_y
_atom_site_fract_z
_atom_site_occupancy
Pm1 0.0000 0.0000 0.0000 1
Tc1 0.7500 0.2500 0.5000 1
Ni1 0.2500 0.7500 0.5000 1
Ge1 0.3733 0.3733 0.0000 1
Ge2 0.6267 0.6267 0.0000 1
```

Peak list (10 most intense, 10 to 90 degrees two-theta, in order of rising 2θ)
- 2θ = 33.6°, d = 2.668 Å, I = 792
- 2θ = 35.1°, d = 2.555 Å, I = 1000
- 2θ = 43.7°, d = 2.070 Å, I = 603
- 2θ = 48.7°, d = 1.868 Å, I = 257
- 2θ = 56.3°, d = 1.635 Å, I = 359
- 2θ = 61.9°, d = 1.499 Å, I = 203
- 2θ = 63.6°, d = 1.463 Å, I = 193
- 2θ = 67.5°, d = 1.387 Å, I = 192
- 2θ = 74.8°, d = 1.270 Å, I = 211
- 2θ = 88.4°, d = 1.106 Å, I = 157